For PuSiH2O6, a cell relaxed with PBE gives the calculated X-ray diffraction stick pattern in this record (Cu Kα (weighted mean of Kα1 and Kα2)).

Peak list (10 most intense, 2θ from 10° to 80°, most intense first)
22.98°, rel. 100; 24.75°, rel. 81; 24.93°, rel. 78; 19.31°, rel. 64; 21.25°, rel. 56; 34.02°, rel. 55; 20.66°, rel. 53; 22.45°, rel. 52; 31.70°, rel. 38; 37.95°, rel. 30

Structural model:
```
PuSiH2O6
1.0
4.886 0.000 0.000
2.094 4.488 0.000
0.013 2.696 4.596
Pu Si H O
1 1 2 6
Direct
0.000 0.000 0.000
0.500 0.000 0.500
0.389 0.536 0.699
0.611 0.464 0.301
0.162 0.105 0.268
0.267 0.121 0.732
0.424 0.439 0.280
0.576 0.561 0.720
0.733 0.879 0.268
0.838 0.895 0.732
```

---

For CeDyHoSc, a cell relaxed with PBE gives the calculated X-ray diffraction stick pattern in this record (Cu Kα (weighted mean of Kα1 and Kα2)).

Peak list (10 most intense, 2θ from 10° to 80°, most intense first)
32.47°, rel. 100; 57.92°, rel. 38; 46.58°, rel. 18; 77.39°, rel. 16; 19.72°, rel. 12; 67.99°, rel. 12; 38.27°, rel. 7; 22.80°, rel. 4; 51.04°, rel. 3; 61.81°, rel. 2

Structural model:
```
CeDyHoSc
1.0
7.799 0.000 0.000
0.000 7.799 0.000
0.000 0.000 7.799
Ce Dy Ho Sc
4 4 4 4
Direct
0.000 0.000 0.000
0.000 0.500 0.500
0.500 0.000 0.500
0.500 0.500 0.000
0.250 0.250 0.250
0.250 0.750 0.750
0.750 0.250 0.750
0.750 0.750 0.250
0.000 0.000 0.500
0.000 0.500 0.000
0.500 0.000 0.000
0.500 0.500 0.500
0.250 0.250 0.750
0.250 0.750 0.250
0.750 0.250 0.250
0.750 0.750 0.750
```

---

For NpAlRhO6, a cell relaxed with PBE gives the calculated X-ray diffraction stick pattern in this record (Cu Kα (weighted mean of Kα1 and Kα2)).

Peak list (10 most intense, 2θ from 10° to 80°, most intense first)
26.69°, rel. 100; 34.80°, rel. 77; 21.13°, rel. 72; 52.55°, rel. 66; 43.97°, rel. 25; 33.11°, rel. 25; 38.10°, rel. 23; 19.24°, rel. 21; 66.73°, rel. 20; 54.98°, rel. 16

Structural model:
```
NpAlRhO6
1.0
4.724 0.000 0.000
0.000 4.724 0.000
0.000 0.000 9.228
Np Al Rh O
2 2 2 12
Direct
0.000 0.000 0.000
0.500 0.500 0.500
0.000 0.000 0.664
0.500 0.500 0.164
0.000 0.000 0.330
0.500 0.500 0.830
0.184 0.184 0.506
0.192 0.192 0.822
0.209 0.209 0.166
0.291 0.709 0.666
0.308 0.692 0.322
0.316 0.684 0.006
0.684 0.316 0.006
0.692 0.308 0.322
0.709 0.291 0.666
0.791 0.791 0.166
0.808 0.808 0.822
0.816 0.816 0.506
```

---

For CsCF5, a cell relaxed with PBE gives the calculated X-ray diffraction stick pattern in this record (Cu Kα (weighted mean of Kα1 and Kα2)).

Peak list (10 most intense, 2θ from 10° to 80°, most intense first)
24.30°, rel. 100; 24.41°, rel. 98; 25.65°, rel. 78; 22.06°, rel. 62; 12.74°, rel. 47; 37.89°, rel. 39; 20.67°, rel. 36; 44.18°, rel. 32; 37.71°, rel. 30; 33.92°, rel. 27

Structural model:
```
CsCF5
1.0
8.057 0.000 0.000
0.000 5.079 0.000
-0.065 0.000 6.948
Cs C F
2 2 10
Direct
0.000 0.000 0.000
0.500 0.500 0.000
0.060 0.500 0.499
0.560 0.000 0.499
0.156 0.500 0.342
0.156 0.500 0.658
0.346 0.000 0.003
0.464 0.216 0.497
0.464 0.784 0.497
0.656 0.000 0.342
0.656 0.000 0.658
0.846 0.500 0.003
0.964 0.284 0.497
0.964 0.716 0.497
```

---

For Cu2RuF6, a cell relaxed with PBE gives the calculated X-ray diffraction stick pattern in this record (Cu Kα (weighted mean of Kα1 and Kα2)).

Peak list (10 most intense, 2θ from 10° to 80°, most intense first)
26.57°, rel. 100; 26.04°, rel. 73; 26.74°, rel. 66; 18.56°, rel. 41; 30.93°, rel. 38; 36.08°, rel. 37; 57.37°, rel. 36; 49.80°, rel. 29; 53.94°, rel. 27; 43.30°, rel. 26

Structural model:
```
Cu2RuF6
1.0
5.139 -1.831 0.000
5.139 1.831 0.000
-2.529 0.000 6.606
Cu Ru F
2 1 6
Direct
0.182 0.182 0.132
0.818 0.818 0.868
0.000 0.000 0.500
0.021 0.021 0.236
0.308 0.308 0.922
0.375 0.375 0.417
0.625 0.625 0.583
0.692 0.692 0.078
0.979 0.979 0.764
```

---

For LiTiZnH, a cell relaxed with PBE gives the calculated X-ray diffraction stick pattern in this record (Cu Kα (weighted mean of Kα1 and Kα2)).

Peak list (10 most intense, 2θ from 10° to 80°, most intense first)
38.47°, rel. 100; 15.71°, rel. 59; 30.95°, rel. 39; 42.79°, rel. 38; 75.49°, rel. 24; 66.56°, rel. 18; 45.85°, rel. 15; 48.40°, rel. 13; 62.12°, rel. 12; 50.69°, rel. 11

Structural model:
```
LiTiZnH
1.0
2.989 0.000 0.000
0.000 2.989 0.000
0.000 0.000 11.283
Li Ti Zn H
2 2 2 2
Direct
0.000 0.000 0.000
0.500 0.500 0.500
0.000 0.000 0.317
0.500 0.500 0.817
0.000 0.000 0.653
0.500 0.500 0.153
0.000 0.000 0.156
0.500 0.500 0.656
```

---

For CaRh2Au, a cell relaxed with PBE gives the calculated X-ray diffraction stick pattern in this record (Cu Kα (weighted mean of Kα1 and Kα2)).

Peak list (10 most intense, 2θ from 10° to 80°, most intense first)
37.72°, rel. 100; 24.04°, rel. 19; 43.51°, rel. 17; 43.69°, rel. 16; 44.30°, rel. 16; 76.02°, rel. 13; 77.15°, rel. 13; 76.29°, rel. 13; 21.73°, rel. 12; 63.36°, rel. 11

Structural model:
```
CaRh2Au
1.0
4.143 0.000 0.000
0.000 4.160 0.000
0.000 0.000 8.179
Ca Rh Au
2 4 2
Direct
0.000 0.000 0.000
0.500 0.500 0.500
0.000 0.000 0.499
0.000 0.500 0.750
0.500 0.000 0.250
0.500 0.500 0.999
0.000 0.500 0.249
0.500 0.000 0.749
```

---

For Ba2Cd15Au2, a cell relaxed with PBE gives the calculated X-ray diffraction stick pattern in this record (Cu Kα (weighted mean of Kα1 and Kα2)).

Peak list (10 most intense, 2θ from 10° to 80°, most intense first)
39.23°, rel. 100; 34.84°, rel. 96; 34.97°, rel. 85; 30.88°, rel. 51; 30.05°, rel. 51; 11.50°, rel. 44; 35.70°, rel. 43; 35.37°, rel. 42; 63.24°, rel. 35; 62.47°, rel. 29

Structural model:
```
Ba2Cd15Au2
1.0
5.150 2.973 5.075
-5.150 2.973 5.075
0.000 -5.947 5.075
Ba Cd Au
2 15 2
Direct
0.164 0.164 0.164
0.836 0.836 0.836
0.000 0.500 0.500
0.151 0.151 0.655
0.151 0.655 0.151
0.212 0.500 0.788
0.212 0.788 0.500
0.345 0.849 0.849
0.500 0.000 0.500
0.500 0.212 0.788
0.500 0.500 0.000
0.500 0.788 0.212
0.655 0.151 0.151
0.788 0.212 0.500
0.788 0.500 0.212
0.849 0.345 0.849
0.849 0.849 0.345
0.391 0.391 0.391
0.609 0.609 0.609
```